The following is a computed powder diffraction line list of KAuSe5. It was derived from a crystal structure in OQMD, relaxed with GGA-PBE, using Cu Kα, 1.54184 Å.
No peak broadening, texture or thermal motion is included.

Most intense lines, 10 to 90 degrees two-theta, low angle first:
(0 0 2), 10.52°, rel. 38; (1 1 0), 12.35°, rel. 31; (1 1 2), 16.25°, rel. 59; (2 1 1), 21.50°, rel. 23; (1 3 2), 27.41°, rel. 62; (2 0 4), 28.78°, rel. 100; (0 4 0), 31.20°, rel. 27; (4 0 0), 39.22°, rel. 21; (0 0 8), 42.97°, rel. 50; (3 3 6), 50.16°, rel. 16

Structure:
Unit cell a=9.1850 b=11.4653 c=16.8248 alpha=90.00 beta=90.00 gamma=90.00
Space group Ibam (No. 72)
Symmetry-distinct sites (fractional):
K (0.0000, 0.0000, 0.0000) (multiplicity 4)
K (0.0000, 0.5000, 0.2500) (multiplicity 4)
Au (0.0000, 0.1303, 0.2500) (multiplicity 8)
Se (0.0718, 0.3502, 0.0000) (multiplicity 8)
Se (0.2012, 0.1262, 0.1538) (multiplicity 16)
Se (0.2225, 0.3261, 0.1139) (multiplicity 16)


The following is a computed powder diffraction line list of KSiTe2AuSe. It was derived from a crystal structure in OQMD, relaxed with GGA-PBE, using Cu Kα, 1.54184 Å.
No peak broadening, texture or thermal motion is included.

Most intense lines, 10 to 90 degrees two-theta, low angle first:
(0 2 0), 10.52°, rel. 55; (0 2 1), 13.35°, rel. 100; (0 4 0), 21.13°, rel. 65; (1 1 0), 23.92°, rel. 57; (1 3 0), 28.29°, rel. 83; (1 3 1), 29.51°, rel. 92; (0 0 4), 33.24°, rel. 78; (1 5 0), 35.58°, rel. 75; (1 3 4), 44.20°, rel. 47; (1 5 4), 49.48°, rel. 57

Structure:
Unit cell a=3.8153 b=16.8203 c=10.7798 alpha=90.00 beta=90.00 gamma=90.00
Space group Cmcm (No. 63)
Symmetry-distinct sites (fractional):
K (0.0000, 0.2286, 0.2500) (multiplicity 4)
Si (0.0000, 0.5000, 0.0000) (multiplicity 4)
Te (0.0000, 0.1167, 0.5096) (multiplicity 8)
Au (0.0000, 0.1090, 0.7500) (multiplicity 4)
Se (0.0000, 0.4657, 0.7500) (multiplicity 4)


The following is a computed powder diffraction line list of KZrTeAuSe2. It was derived from a crystal structure in OQMD, relaxed with GGA-PBE, using Cu Kα, 1.54184 Å.
No peak broadening, texture or thermal motion is included.

Most intense lines, 10 to 90 degrees two-theta, low angle first:
(1 0 0), 11.13°, rel. 12; (1 0 -1), 11.52°, rel. 100; (1 1 -2), 28.35°, rel. 20; (2 1 0), 31.64°, rel. 43; (1 0 3), 33.33°, rel. 15; (1 1 -3), 34.02°, rel. 20; (2 1 1), 35.25°, rel. 17; (3 1 -1), 38.90°, rel. 17; (2 1 -4), 42.20°, rel. 25; (0 2 0), 45.08°, rel. 16

Structure:
Unit cell a=8.5353 b=4.0224 c=10.4779 alpha=90.00 beta=111.31 gamma=90.00
Space group P2_1/m (No. 11)
Symmetry-distinct sites (fractional):
K (0.2358, 0.2500, 0.2558) (multiplicity 2)
Zr (0.3120, 0.7500, 0.8384) (multiplicity 2)
Te (0.2841, 0.7500, 0.5547) (multiplicity 2)
Au (0.0807, 0.2500, 0.6082) (multiplicity 2)
Se (0.1036, 0.2500, 0.8625) (multiplicity 2)
Se (0.4504, 0.7500, 0.1235) (multiplicity 2)


The following is a computed powder diffraction line list of KZrTeAuSe2. It was derived from a crystal structure in OQMD, relaxed with GGA-PBE, using Cu Kα, 1.54184 Å.
No peak broadening, texture or thermal motion is included.

Most intense lines, 10 to 90 degrees two-theta, low angle first:
(0 2 0), 11.15°, rel. 100; (1 3 1), 29.24°, rel. 47; (1 3 2), 32.63°, rel. 45; (0 0 4), 33.10°, rel. 24; (0 2 4), 35.03°, rel. 13; (1 5 2), 39.95°, rel. 30; (0 6 3), 42.38°, rel. 11; (1 5 3), 44.28°, rel. 10; (2 0 0), 45.50°, rel. 13; (1 3 5), 51.01°, rel. 16

Structure:
Unit cell a=3.9869 b=15.8655 c=10.8257 alpha=90.00 beta=90.00 gamma=90.00
Space group Cmcm (No. 63)
Symmetry-distinct sites (fractional):
K (0.0000, 0.2230, 0.2500) (multiplicity 4)
Zr (0.0000, 0.0000, 0.0000) (multiplicity 4)
Te (0.0000, 0.0872, 0.7500) (multiplicity 4)
Au (0.0000, 0.4650, 0.7500) (multiplicity 4)
Se (0.0000, 0.3833, 0.5442) (multiplicity 8)


- Which formula does entry 2 have?
  KSiTe2AuSe